Calculated X-ray powder pattern
Compound: LiTi2Zn2P2O10
Radiation: Cu Kα (weighted mean of Kα1 and Kα2)
Structure: a structure optimized by DFT (PBE)
No peak broadening, texture or thermal motion is included.

```
data_LiTi2Zn2P2O10
_cell_length_a 5.6203
_cell_length_b 5.6937
_cell_length_c 7.3200
_cell_angle_alpha 108.41
_cell_angle_beta 108.45
_cell_angle_gamma 94.85
_space_group_name_H-M_alt 'P 1'
_space_group_IT_number 1
loop_
_space_group_symop_operation_xyz
'x,y,z'
loop_
_atom_site_label
_atom_site_type_symbol
_atom_site_fract_x
_atom_site_fract_y
_atom_site_fract_z
_atom_site_occupancy
Li1 Li 0.0000 0.0000 0.0000 1
Ti1 Ti 0.3672 0.1961 0.3899 1
Ti2 Ti 0.3761 0.1842 0.8586 1
Zn1 Zn 0.0318 0.5057 0.5745 1
Zn2 Zn 0.5132 0.7740 0.1042 1
P1 P 0.0028 0.5788 0.1379 1
P2 P 0.7151 0.8234 0.6053 1
O1 O 0.0178 0.8850 0.7018 1
O2 O 0.0464 0.8704 0.2312 1
O3 O 0.0851 0.4449 0.2960 1
O4 O 0.1525 0.5004 0.9881 1
O5 O 0.2662 0.3048 0.6318 1
O6 O 0.3917 0.0831 0.1009 1
O7 O 0.6086 0.9274 0.4319 1
O8 O 0.6233 0.9294 0.7869 1
O9 O 0.6600 0.5266 0.5133 1
O10 O 0.7012 0.4970 0.0237 1
```

Top 10 peaks for 10 to 90 degrees two-theta, in order of rising 2θ:
5.057 Å, rel. 14; 3.820 Å, rel. 24; 3.384 Å, rel. 84; 3.352 Å, rel. 100; 3.236 Å, rel. 18; 2.581 Å, rel. 38; 2.558 Å, rel. 28; 2.398 Å, rel. 15; 2.375 Å, rel. 15; 2.312 Å, rel. 17

***

Calculated X-ray powder pattern
Compound: Sb7O6F9
Radiation: Cu Kα (weighted mean of Kα1 and Kα2)
Structure: a structure optimized by DFT (PBE)
No peak broadening, texture or thermal motion is included.

```
data_Sb7O6F9
_cell_length_a 5.8252
_cell_length_b 22.3749
_cell_length_c 22.3749
_cell_angle_alpha 164.36
_cell_angle_beta 90.00
_cell_angle_gamma 90.00
_space_group_name_H-M_alt 'P 1'
_space_group_IT_number 1
loop_
_space_group_symop_operation_xyz
'x,y,z'
loop_
_atom_site_label
_atom_site_type_symbol
_atom_site_fract_x
_atom_site_fract_y
_atom_site_fract_z
_atom_site_occupancy
Sb1 Sb 0.1831 0.1044 0.8956 1
Sb2 Sb 0.1831 0.3956 0.6044 1
Sb3 Sb 0.1956 0.0455 0.3916 1
Sb4 Sb 0.1956 0.8916 0.5455 1
Sb5 Sb 0.2288 0.3425 0.8425 1
Sb6 Sb 0.2495 0.1629 0.2144 1
Sb7 Sb 0.2495 0.7144 0.6629 1
Sb8 Sb 0.7505 0.2144 0.1629 1
Sb9 Sb 0.7505 0.6629 0.7144 1
Sb10 Sb 0.7712 0.8425 0.3425 1
Sb11 Sb 0.8044 0.3916 0.0455 1
Sb12 Sb 0.8044 0.5455 0.8916 1
Sb13 Sb 0.8169 0.6044 0.3956 1
Sb14 Sb 0.8169 0.8956 0.1044 1
O1 O 0.0000 0.3241 0.3241 1
O2 O 0.0000 0.8241 0.8241 1
O3 O 0.0338 0.0909 0.7973 1
O4 O 0.0338 0.2973 0.5909 1
O5 O 0.0519 0.1275 0.3058 1
O6 O 0.0519 0.8058 0.6275 1
O7 O 0.5000 0.3179 0.3179 1
O8 O 0.5000 0.8179 0.8179 1
O9 O 0.9481 0.3058 0.1275 1
O10 O 0.9481 0.6275 0.8058 1
O11 O 0.9662 0.5909 0.2973 1
O12 O 0.9662 0.7973 0.0909 1
F1 F 0.1093 0.5376 0.0973 1
F2 F 0.1093 0.5973 0.0376 1
F3 F 0.2685 0.0357 0.9446 1
F4 F 0.2685 0.4446 0.5357 1
F5 F 0.3641 0.1709 0.7818 1
F6 F 0.3641 0.2818 0.6709 1
F7 F 0.4267 0.0601 0.3413 1
F8 F 0.4267 0.8413 0.5601 1
F9 F 0.4706 0.9863 0.4863 1
F10 F 0.5294 0.4863 0.9863 1
F11 F 0.5733 0.3413 0.0601 1
F12 F 0.5733 0.5601 0.8413 1
F13 F 0.6359 0.6709 0.2818 1
F14 F 0.6359 0.7818 0.1709 1
F15 F 0.7315 0.5357 0.4446 1
F16 F 0.7315 0.9446 0.0357 1
F17 F 0.8907 0.0376 0.5973 1
F18 F 0.8907 0.0973 0.5376 1
```

Top 10 peaks for 10 to 90 degrees two-theta, in order of rising 2θ:
4.190 Å, rel. 31; 4.048 Å, rel. 15; 3.505 Å, rel. 100; 3.167 Å, rel. 20; 2.912 Å, rel. 18; 2.814 Å, rel. 18; 2.650 Å, rel. 19; 2.426 Å, rel. 14; 2.144 Å, rel. 16; 2.024 Å, rel. 12

***

Calculated X-ray powder pattern
Compound: Mg5Si9
Radiation: Cu Kα (weighted mean of Kα1 and Kα2)
Structure: a structure optimized by DFT (PBE)
No peak broadening, texture or thermal motion is included.

```
data_Mg5Si9
_cell_length_a 5.4884
_cell_length_b 7.1610
_cell_length_c 13.7692
_cell_angle_alpha 77.87
_cell_angle_beta 85.40
_cell_angle_gamma 67.80
_space_group_name_H-M_alt 'P 1'
_space_group_IT_number 1
loop_
_space_group_symop_operation_xyz
'x,y,z'
loop_
_atom_site_label
_atom_site_type_symbol
_atom_site_fract_x
_atom_site_fract_y
_atom_site_fract_z
_atom_site_occupancy
Mg1 Mg 0.0000 0.0000 0.0000 1
Mg2 Mg 0.9996 0.1194 0.7677 1
Mg3 Mg 0.0319 0.5608 0.7391 1
Mg4 Mg 0.0943 0.7047 0.1911 1
Mg5 Mg 0.3847 0.2590 0.9363 1
Mg6 Mg 0.4496 0.9419 0.4546 1
Mg7 Mg 0.5180 0.5917 0.7388 1
Mg8 Mg 0.6143 0.8455 0.8721 1
Mg9 Mg 0.6841 0.4526 0.2436 1
Mg10 Mg 0.7597 0.2219 0.4720 1
Si1 Si 0.1113 0.1665 0.1527 1
Si2 Si 0.1226 0.9040 0.6128 1
Si3 Si 0.1664 0.7225 0.8844 1
Si4 Si 0.2363 0.2337 0.5760 1
Si5 Si 0.2453 0.2640 0.2955 1
Si6 Si 0.2959 0.6641 0.3705 1
Si7 Si 0.3514 0.5660 0.5507 1
Si8 Si 0.4334 0.5547 0.0405 1
Si9 Si 0.4639 0.2130 0.7329 1
Si10 Si 0.5487 0.8550 0.0857 1
Si11 Si 0.5723 0.8630 0.2665 1
Si12 Si 0.6515 0.1683 0.1505 1
Si13 Si 0.6714 0.9244 0.6431 1
Si14 Si 0.8081 0.5406 0.5581 1
Si15 Si 0.8212 0.3981 0.9141 1
Si16 Si 0.9126 0.5628 0.3791 1
Si17 Si 0.9302 0.0062 0.3185 1
Si18 Si 0.9795 0.5397 0.0404 1
```

Top 10 peaks for 10 to 90 degrees two-theta, in order of rising 2θ:
2.604 Å, rel. 50; 2.499 Å, rel. 71; 2.462 Å, rel. 61; 2.419 Å, rel. 60; 2.378 Å, rel. 100; 2.331 Å, rel. 56; 2.306 Å, rel. 71; 2.261 Å, rel. 75; 2.210 Å, rel. 83; 2.171 Å, rel. 64

***

Calculated X-ray powder pattern
Compound: CsBaVS4
Radiation: Cu Kα (weighted mean of Kα1 and Kα2)
Structure: a structure optimized by DFT (PBE)
No peak broadening, texture or thermal motion is included.

```
data_CsBaVS4
_cell_length_a 12.1548
_cell_length_b 6.9589
_cell_length_c 10.1561
_cell_angle_alpha 90.00
_cell_angle_beta 90.00
_cell_angle_gamma 90.00
_space_group_name_H-M_alt 'P 1'
_space_group_IT_number 1
loop_
_space_group_symop_operation_xyz
'x,y,z'
loop_
_atom_site_label
_atom_site_type_symbol
_atom_site_fract_x
_atom_site_fract_y
_atom_site_fract_z
_atom_site_occupancy
Cs1 Cs 0.0665 0.2500 0.1331 1
Cs2 Cs 0.4335 0.7500 0.6331 1
Cs3 Cs 0.5665 0.2500 0.3669 1
Cs4 Cs 0.9335 0.7500 0.8669 1
Ba1 Ba 0.1495 0.2500 0.5948 1
Ba2 Ba 0.3505 0.7500 0.0948 1
Ba3 Ba 0.6495 0.2500 0.9052 1
Ba4 Ba 0.8505 0.7500 0.4052 1
V1 V 0.1694 0.7500 0.3809 1
V2 V 0.3306 0.2500 0.8809 1
V3 V 0.6694 0.7500 0.1191 1
V4 V 0.8306 0.2500 0.6191 1
S1 S 0.0608 0.7500 0.2124 1
S2 S 0.0776 0.7500 0.5627 1
S3 S 0.2257 0.0012 0.8680 1
S4 S 0.2257 0.4988 0.8680 1
S5 S 0.2743 0.5012 0.3680 1
S6 S 0.2743 0.9988 0.3680 1
S7 S 0.4224 0.2500 0.0627 1
S8 S 0.4392 0.2500 0.7124 1
S9 S 0.5608 0.7500 0.2876 1
S10 S 0.5776 0.7500 0.9373 1
S11 S 0.7257 0.0012 0.6320 1
S12 S 0.7257 0.4988 0.6320 1
S13 S 0.7743 0.5012 0.1320 1
S14 S 0.7743 0.9988 0.1320 1
S15 S 0.9224 0.2500 0.4373 1
S16 S 0.9392 0.2500 0.7876 1
```

Top 10 peaks for 10 to 90 degrees two-theta, in order of rising 2θ:
4.578 Å, rel. 35; 4.173 Å, rel. 29; 3.887 Å, rel. 100; 3.763 Å, rel. 31; 3.479 Å, rel. 58; 3.167 Å, rel. 66; 2.793 Å, rel. 47; 2.722 Å, rel. 27; 2.555 Å, rel. 36; 2.080 Å, rel. 27

***

Calculated X-ray powder pattern
Compound: HfMg6Ti
Radiation: Cu Kα (weighted mean of Kα1 and Kα2)
Structure: a structure optimized by DFT (PBE)
No peak broadening, texture or thermal motion is included.

```
data_HfMg6Ti
_cell_length_a 5.0717
_cell_length_b 6.2261
_cell_length_c 11.0628
_cell_angle_alpha 90.00
_cell_angle_beta 90.00
_cell_angle_gamma 90.00
_space_group_name_H-M_alt 'P 1'
_space_group_IT_number 1
loop_
_space_group_symop_operation_xyz
'x,y,z'
loop_
_atom_site_label
_atom_site_type_symbol
_atom_site_fract_x
_atom_site_fract_y
_atom_site_fract_z
_atom_site_occupancy
Hf1 Hf 0.0000 0.0000 0.0000 1
Hf2 Hf 0.0000 0.5000 0.5000 1
Mg1 Mg 0.0000 0.2486 0.2516 1
Mg2 Mg 0.0000 0.2514 0.7516 1
Mg3 Mg 0.0000 0.7486 0.7516 1
Mg4 Mg 0.0000 0.7514 0.2516 1
Mg5 Mg 0.5000 0.0000 0.1631 1
Mg6 Mg 0.5000 0.0000 0.6609 1
Mg7 Mg 0.5000 0.2469 0.4215 1
Mg8 Mg 0.5000 0.2531 0.9215 1
Mg9 Mg 0.5000 0.5000 0.1609 1
Mg10 Mg 0.5000 0.5000 0.6631 1
Mg11 Mg 0.5000 0.7469 0.9215 1
Mg12 Mg 0.5000 0.7531 0.4215 1
Ti1 Ti 0.0000 0.0000 0.5001 1
Ti2 Ti 0.0000 0.5000 0.0001 1
```

Top 10 peaks for 10 to 90 degrees two-theta, in order of rising 2θ:
5.531 Å, rel. 56; 5.426 Å, rel. 52; 5.072 Å, rel. 43; 3.738 Å, rel. 40; 3.705 Å, rel. 45; 2.713 Å, rel. 36; 2.536 Å, rel. 37; 2.428 Å, rel. 52; 2.392 Å, rel. 100; 1.853 Å, rel. 23

***

Calculated X-ray powder pattern
Compound: NdFeNi4
Radiation: Cu Kα (weighted mean of Kα1 and Kα2)
Structure: a structure optimized by DFT (PBE)
No peak broadening, texture or thermal motion is included.

```
data_NdFeNi4
_cell_length_a 4.9953
_cell_length_b 4.9953
_cell_length_c 3.9523
_cell_angle_alpha 90.00
_cell_angle_beta 90.00
_cell_angle_gamma 120.00
_space_group_name_H-M_alt 'P 1'
_space_group_IT_number 1
loop_
_space_group_symop_operation_xyz
'x,y,z'
loop_
_atom_site_label
_atom_site_type_symbol
_atom_site_fract_x
_atom_site_fract_y
_atom_site_fract_z
_atom_site_occupancy
Nd1 Nd 0.0000 0.0000 0.0000 1
Fe1 Fe 0.3333 0.6667 0.0000 1
Ni1 Ni 0.9996 0.4998 0.5000 1
Ni2 Ni 0.5002 0.0004 0.5000 1
Ni3 Ni 0.5002 0.4998 0.5000 1
Ni4 Ni 0.6667 0.3333 0.0000 1
```

Top 10 peaks for 10 to 90 degrees two-theta, in order of rising 2θ:
2.918 Å, rel. 49; 2.498 Å, rel. 31; 2.163 Å, rel. 37; 2.111 Å, rel. 100; 1.976 Å, rel. 26; 1.511 Å, rel. 14; 1.459 Å, rel. 20; 1.355 Å, rel. 22; 1.249 Å, rel. 16; 1.165 Å, rel. 19